Record 1
The following is a simulated powder XRD pattern of LaTa3. It was derived from a DFT-relaxed cell (PBE, Alexandria), using λ = 1.5418 Å (Cu Kα).

Principal peaks in the range 2θ = 15–90°, in order of rising 2θ:
two_theta  d (Å)  I_rel
35.2  2.550  100
37.5  2.399  57
44.1  2.052  21
52.1  1.756  8
54.1  1.697  20
61.6  1.505  7
66.2  1.413  32
72.2  1.308  10

Cell and atoms:
Cell lengths 3.3932, 3.3932, 7.7323 Å; angles 90.00, 90.00, 90.00 degrees
Fractional coordinates of all 4 atoms:
La (0.0000, 0.0000, 0.0000)
Ta (0.0000, 0.0000, 0.5000)
Ta (0.5000, 0.5000, 0.3093)
Ta (0.5000, 0.5000, 0.6907)

Record 2
The following is a simulated powder XRD pattern of LaTa. It was derived from a DFT-relaxed cell (PBE, Alexandria), using λ = 1.5418 Å (Cu Kα).

Principal peaks in the range 2θ = 15–90°, in order of rising 2θ:
two_theta  d (Å)  I_rel
29.8  2.997  19
32.1  2.787  55
35.7  2.515  71
36.3  2.476  100
39.3  2.291  35
62.4  1.488  17
64.2  1.451  26
67.1  1.395  15

Cell and atoms:
Cell lengths 9.1615, 9.1615, 3.5526 Å; angles 90.00, 90.00, 157.86 degrees
Fractional coordinates of all 4 atoms:
La (0.0966, 0.9034, 0.7500)
La (0.9034, 0.0966, 0.2500)
Ta (0.2844, 0.7156, 0.7500)
Ta (0.7156, 0.2844, 0.2500)

Record 3
The following is a simulated powder XRD pattern of LaTa. It was derived from a DFT-relaxed cell (PBE, Alexandria), using λ = 1.5418 Å (Cu Kα).

Principal peaks in the range 2θ = 15–90°, in order of rising 2θ:
two_theta  d (Å)  I_rel
33.0  2.716  100
35.8  2.508  60
40.9  2.206  29
48.6  1.873  15
51.5  1.773  21
60.7  1.526  15
62.6  1.485  32
67.8  1.382  13

Cell and atoms:
Cell lengths 3.5463, 3.5463, 8.4513 Å; angles 90.00, 90.00, 90.00 degrees
Fractional coordinates of all 4 atoms:
La (0.2500, 0.2500, 0.1706)
La (0.7500, 0.7500, 0.8294)
Ta (0.2500, 0.2500, 0.5736)
Ta (0.7500, 0.7500, 0.4264)

Record 4
The following is a simulated powder XRD pattern of La5Ta. It was derived from a DFT-relaxed cell (PBE, Alexandria), using λ = 1.5418 Å (Cu Kα).

Principal peaks in the range 2θ = 15–90°, in order of rising 2θ:
two_theta  d (Å)  I_rel
28.7  3.115  24
31.7  2.818  25
32.8  2.727  100
43.3  2.090  14
50.8  1.799  18
57.3  1.609  17
61.1  1.516  16
61.8  1.501  11

Cell and atoms:
Cell lengths 6.6867, 6.6867, 6.6867 Å; angles 55.53, 55.53, 55.53 degrees
Fractional coordinates of all 6 atoms:
La (0.0000, 0.6131, 0.3869)
La (0.1522, 0.1522, 0.1522)
La (0.3869, 0.0000, 0.6131)
La (0.6131, 0.3869, 0.0000)
La (0.8478, 0.8478, 0.8478)
Ta (0.5000, 0.5000, 0.5000)

Record 5
The following is a simulated powder XRD pattern of La3Ta. It was derived from a DFT-relaxed cell (PBE, Alexandria), using λ = 1.5418 Å (Cu Kα).

Principal peaks in the range 2θ = 15–90°, in order of rising 2θ:
two_theta  d (Å)  I_rel
31.0  2.888  56
31.4  2.850  48
32.0  2.800  100
36.6  2.457  70
36.7  2.449  32
52.5  1.743  25
53.1  1.726  19
62.3  1.491  21

Cell and atoms:
Cell lengths 6.0620, 6.0620, 6.0823 Å; angles 101.00, 101.00, 32.70 degrees
Fractional coordinates of all 4 atoms:
La (0.0000, 0.0000, 0.0000)
La (0.2312, 0.2312, 0.7299)
La (0.7688, 0.7688, 0.2701)
Ta (0.5000, 0.5000, 0.5000)

Record 6
The following is a simulated powder XRD pattern of La5Ta4. It was derived from a DFT-relaxed cell (PBE, Alexandria), using λ = 1.5418 Å (Cu Kα).

Principal peaks in the range 2θ = 15–90°, in order of rising 2θ:
two_theta  d (Å)  I_rel
32.1  2.789  53
34.6  2.594  100
40.9  2.204  10
46.0  1.972  16
49.2  1.852  12
58.8  1.570  25
63.5  1.465  15
88.8  1.102  11

Cell and atoms:
Cell lengths 8.5433, 8.5433, 8.5433 Å; angles 92.33, 92.33, 156.75 degrees
Fractional coordinates of all 9 atoms:
La (0.0000, 0.0000, 0.0000)
La (0.3289, 0.3289, 0.6577)
La (0.3289, 0.6711, 0.0000)
La (0.6711, 0.3289, 0.0000)
La (0.6711, 0.6711, 0.3423)
Ta (0.0000, 0.3708, 0.3708)
Ta (0.0000, 0.6292, 0.6292)
Ta (0.3708, 0.0000, 0.3708)
Ta (0.6292, 0.0000, 0.6292)

Record 7
The following is a simulated powder XRD pattern of La7Ta. It was derived from a DFT-relaxed cell (PBE, Alexandria), using λ = 1.5418 Å (Cu Kα).

Principal peaks in the range 2θ = 15–90°, in order of rising 2θ:
two_theta  d (Å)  I_rel
30.5  2.927  100
35.4  2.535  51
51.0  1.792  36
60.6  1.528  43
63.6  1.463  12
74.9  1.267  6
83.0  1.163  17
85.7  1.133  16

Cell and atoms:
Cell lengths 7.1687, 7.1687, 7.1687 Å; angles 60.00, 60.00, 60.00 degrees
Fractional coordinates of all 8 atoms:
La (0.0000, 0.0000, 0.0000)
La (0.0000, 0.0000, 0.5000)
La (0.0000, 0.5000, 0.0000)
La (0.0000, 0.5000, 0.5000)
La (0.5000, 0.0000, 0.0000)
La (0.5000, 0.0000, 0.5000)
La (0.5000, 0.5000, 0.0000)
Ta (0.5000, 0.5000, 0.5000)

Record 8
The following is a simulated powder XRD pattern of LaTa5. It was derived from a DFT-relaxed cell (PBE, Alexandria), using λ = 1.5418 Å (Cu Kα).

Principal peaks in the range 2θ = 15–90°, in order of rising 2θ:
two_theta  d (Å)  I_rel
17.1  5.170  34
34.7  2.585  31
36.4  2.471  100
40.5  2.230  55
41.0  2.203  28
57.4  1.605  27
62.2  1.493  25
77.2  1.236  27

Cell and atoms:
Cell lengths 5.9704, 5.9704, 4.4053 Å; angles 90.00, 90.00, 120.00 degrees
Fractional coordinates of all 6 atoms:
La (0.0000, 0.0000, 0.0000)
Ta (0.0000, 0.5000, 0.5000)
Ta (0.3333, 0.6667, 0.0000)
Ta (0.5000, 0.0000, 0.5000)
Ta (0.5000, 0.5000, 0.5000)
Ta (0.6667, 0.3333, 0.0000)

Record 9
The following is a simulated powder XRD pattern of LaTa. It was derived from a DFT-relaxed cell (PBE, Alexandria), using λ = 1.5418 Å (Cu Kα).

Principal peaks in the range 2θ = 15–90°, in order of rising 2θ:
two_theta  d (Å)  I_rel
32.2  2.781  17
34.5  2.599  31
35.1  2.558  100
39.6  2.275  23
40.6  2.225  10
47.9  1.899  11
62.2  1.492  19
67.3  1.391  12

Cell and atoms:
Cell lengths 3.1221, 3.1221, 11.1226 Å; angles 90.00, 90.00, 112.68 degrees
Fractional coordinates of all 4 atoms:
La (0.2500, 0.7500, 0.8379)
La (0.7500, 0.2500, 0.1621)
Ta (0.2500, 0.7500, 0.4060)
Ta (0.7500, 0.2500, 0.5940)

Record 10
The following is a simulated powder XRD pattern of La2TaTe. It was derived from a DFT-relaxed cell (PBE, Alexandria), using λ = 1.5418 Å (Cu Kα).

Principal peaks in the range 2θ = 15–90°, in order of rising 2θ:
two_theta  d (Å)  I_rel
30.4  2.941  22
33.2  2.695  100
34.9  2.573  25
46.9  1.937  14
48.5  1.877  10
55.8  1.647  10
61.1  1.516  10
61.5  1.508  17

Cell and atoms:
Cell lengths 6.6893, 6.6893, 6.6893 Å; angles 147.41, 134.76, 56.86 degrees
Fractional coordinates of all 4 atoms:
La (0.0000, 0.0000, 0.0000)
La (0.7296, 0.2296, 0.5000)
Ta (0.2445, 0.7445, 0.5000)
Te (0.4284, 0.4284, 0.0000)

Record 11
The following is a simulated powder XRD pattern of LaYTa. It was derived from a DFT-relaxed cell (PBE, Alexandria), using λ = 1.5418 Å (Cu Kα).

Principal peaks in the range 2θ = 15–90°, in order of rising 2θ:
two_theta  d (Å)  I_rel
31.3  2.857  36
33.0  2.716  100
37.8  2.381  73
53.4  1.715  19
55.6  1.653  23
63.2  1.471  16
65.2  1.431  24
66.2  1.412  13

Cell and atoms:
Cell lengths 3.3068, 3.3068, 8.5692 Å; angles 90.00, 90.00, 120.00 degrees
Fractional coordinates of all 3 atoms:
La (0.0000, 0.0000, 0.0000)
Y (0.6667, 0.3333, 0.6041)
Ta (0.3333, 0.6667, 0.3130)

Record 12
The following is a simulated powder XRD pattern of LaYTa. It was derived from a DFT-relaxed cell (PBE, Alexandria), using λ = 1.5418 Å (Cu Kα).

Principal peaks in the range 2θ = 15–90°, in order of rising 2θ:
two_theta  d (Å)  I_rel
26.8  3.330  19
33.4  2.684  82
34.3  2.618  100
44.0  2.058  31
48.6  1.874  28
60.8  1.524  29
61.3  1.512  18
66.6  1.405  29

Cell and atoms:
Cell lengths 5.2362, 5.2362, 3.3296 Å; angles 90.00, 90.00, 120.00 degrees
Fractional coordinates of all 3 atoms:
La (0.0000, 0.0000, 0.0000)
Y (0.3333, 0.6667, 0.5000)
Ta (0.6667, 0.3333, 0.0000)

Record 13
The following is a simulated powder XRD pattern of La4YTa. It was derived from a DFT-relaxed cell (PBE, Alexandria), using λ = 1.5418 Å (Cu Kα).

Principal peaks in the range 2θ = 15–90°, in order of rising 2θ:
two_theta  d (Å)  I_rel
27.7  3.219  25
32.6  2.745  100
34.1  2.628  41
52.2  1.752  35
57.2  1.610  30
67.5  1.388  12
68.3  1.373  16
81.1  1.185  22

Cell and atoms:
Cell lengths 6.4382, 6.4382, 6.4382 Å; angles 60.00, 60.00, 60.00 degrees
Fractional coordinates of all 6 atoms:
La (0.1232, 0.1232, 0.1232)
La (0.1232, 0.1232, 0.6303)
La (0.1232, 0.6303, 0.1232)
La (0.6303, 0.1232, 0.1232)
Y (0.5000, 0.5000, 0.5000)
Ta (0.7500, 0.7500, 0.7500)

Record 14
The following is a simulated powder XRD pattern of LaZrTa. It was derived from a DFT-relaxed cell (PBE, Alexandria), using λ = 1.5418 Å (Cu Kα).

Principal peaks in the range 2θ = 15–90°, in order of rising 2θ:
two_theta  d (Å)  I_rel
34.7  2.589  100
35.3  2.541  93
50.3  1.813  35
61.7  1.504  17
63.0  1.476  35
63.4  1.467  17
83.9  1.153  15
85.1  1.140  16

Cell and atoms:
Cell lengths 5.0819, 5.0819, 3.2006 Å; angles 90.00, 90.00, 120.00 degrees
Fractional coordinates of all 3 atoms:
La (0.0000, 0.0000, 0.0000)
Zr (0.3333, 0.6667, 0.6114)
Ta (0.6667, 0.3333, 0.3620)

Record 15
The following is a simulated powder XRD pattern of La2Tb13. It was derived from a DFT-relaxed cell (PBE, Alexandria), using λ = 1.5418 Å (Cu Kα).

Principal peaks in the range 2θ = 15–90°, in order of rising 2θ:
two_theta  d (Å)  I_rel
30.1  2.974  16
31.7  2.825  100
44.2  2.049  11
46.6  1.949  8
56.4  1.632  19
57.4  1.605  9
61.7  1.504  18
79.8  1.202  8

Cell and atoms:
Cell lengths 6.6776, 8.8121, 9.0781 Å; angles 69.11, 83.62, 80.55 degrees
Fractional coordinates of all 15 atoms:
La (0.1997, 0.3081, 0.3964)
La (0.8003, 0.6919, 0.6036)
Tb (0.0000, 0.5000, 0.0000)
Tb (0.0963, 0.9227, 0.6945)
Tb (0.1372, 0.7003, 0.2639)
Tb (0.2374, 0.0769, 0.9746)
Tb (0.3342, 0.4972, 0.6702)
Tb (0.4297, 0.9225, 0.3577)
Tb (0.4649, 0.6967, 0.9353)
Tb (0.5351, 0.3033, 0.0647)
Tb (0.5703, 0.0775, 0.6423)
Tb (0.6658, 0.5028, 0.3298)
Tb (0.7626, 0.9231, 0.0254)
Tb (0.8628, 0.2997, 0.7361)
Tb (0.9037, 0.0773, 0.3055)

Record 16
The following is a simulated powder XRD pattern of La4Tb5. It was derived from a DFT-relaxed cell (PBE, Alexandria), using λ = 1.5418 Å (Cu Kα).

Principal peaks in the range 2θ = 15–90°, in order of rising 2θ:
two_theta  d (Å)  I_rel
30.0  2.978  100
30.0  2.977  100
34.7  2.585  68
35.0  2.565  33
50.1  1.821  48
59.3  1.558  43
59.7  1.549  28
62.4  1.489  25

Cell and atoms:
Cell lengths 9.6215, 9.6215, 3.6573 Å; angles 100.90, 100.90, 106.22 degrees
Fractional coordinates of all 9 atoms:
La (0.0016, 0.3336, 0.1678)
La (0.3336, 0.0016, 0.1678)
La (0.6664, 0.9984, 0.8322)
La (0.9984, 0.6664, 0.8322)
Tb (0.0000, 0.0000, 0.5000)
Tb (0.3364, 0.6636, 0.5000)
Tb (0.3378, 0.3378, 0.8376)
Tb (0.6622, 0.6622, 0.1624)
Tb (0.6636, 0.3364, 0.5000)